No. 1
Computed X-ray diffraction stick pattern of K2NpUN4 for Cu Kα (λ = 1.5418 Å), from a structure optimized by DFT (GGA-PBE).
Kinematic intensities with the Lorentz-polarization factor, no thermal factor.

Crystal structure
a = 6.1241 Å, b = 3.5339 Å, c = 6.7184 Å
α = 90.00°, β = 107.80°, γ = 90.00°
Space group P2/m (No. 10)
Asymmetric unit:
K 0.0000 0.0000 0.0000
K 0.5000 0.5000 0.0000
Np 0.0000 0.5000 0.5000
U 0.5000 0.0000 0.5000
N 0.2246 0.0000 0.6568
N 0.2885 0.5000 0.3408

Largest 10 diffraction maxima, sorted by position, 2θ from 10° to 90°:
13.84°, intensity 100, (0 0 1); 27.90°, intensity 33, (0 0 2); 29.55°, intensity 42, (2 0 -1); 30.66°, intensity 68, (2 0 0); 34.76°, intensity 69, (2 0 -2); 44.36°, intensity 20, (1 1 2); 48.20°, intensity 24, (1 1 -3); 51.72°, intensity 23, (0 2 0); 53.81°, intensity 20, (3 1 0); 59.78°, intensity 24, (3 1 1)



No. 2
Computed X-ray diffraction stick pattern of K8N3O for Cu Kα (λ = 1.5418 Å), from a structure optimized by DFT (GGA-PBE).
Kinematic intensities with the Lorentz-polarization factor, no thermal factor.

Crystal structure
a = 6.7363 Å, b = 6.7363 Å, c = 6.7363 Å
α = 90.00°, β = 90.00°, γ = 90.00°
Space group Pm-3m (No. 221)
Asymmetric unit:
K 0.2435 0.2435 0.2435
N 0.0000 0.5000 0.5000
O 0.0000 0.0000 0.0000

Largest 10 diffraction maxima, sorted by position, 2θ from 10° to 90°:
22.87°, intensity 7, (1 1 1); 26.46°, intensity 68, (2 0 0); 37.77°, intensity 100, (2 2 0); 44.61°, intensity 2, (3 1 1); 46.71°, intensity 17, (2 2 2); 54.49°, intensity 14, (4 0 0); 61.57°, intensity 20, (4 2 0); 68.20°, intensity 26, (4 2 2); 80.69°, intensity 8, (4 4 0); 86.73°, intensity 9, (6 0 0)



No. 3
Computed X-ray diffraction stick pattern of K2NO for Cu Kα (λ = 1.5418 Å), from a structure optimized by DFT (GGA-PBE).
Kinematic intensities with the Lorentz-polarization factor, no thermal factor.

Crystal structure
a = 6.7280 Å, b = 6.7280 Å, c = 6.7280 Å
α = 90.00°, β = 90.00°, γ = 90.00°
Space group Fm-3m (No. 225)
Asymmetric unit:
K 0.2500 0.2500 0.2500
N 0.0000 0.0000 0.0000
O 0.0000 0.0000 0.5000

Largest 8 diffraction maxima, sorted by position, 2θ from 10° to 90°:
26.50°, intensity 28, (2 0 0); 37.82°, intensity 100, (2 2 0); 46.77°, intensity 8, (2 2 2); 54.56°, intensity 14, (4 0 0); 61.65°, intensity 10, (4 2 0); 68.30°, intensity 26, (4 2 2); 80.81°, intensity 8, (4 4 0); 86.87°, intensity 5, (6 0 0)



No. 4
Computed X-ray diffraction stick pattern of K3RhN6O12 for Cu Kα (λ = 1.5418 Å), from a structure optimized by DFT (GGA-PBE).
Kinematic intensities with the Lorentz-polarization factor, no thermal factor.

Crystal structure
a = 11.0956 Å, b = 11.0956 Å, c = 11.0956 Å
α = 90.00°, β = 90.00°, γ = 90.00°
Space group Fm-3m (No. 225)
Asymmetric unit:
K 0.0000 0.0000 0.0000
K 0.2500 0.2500 0.2500
Rh 0.0000 0.0000 0.5000
N 0.0000 0.0000 0.3177
O 0.0000 0.2089 0.2911

Largest 10 diffraction maxima, sorted by position, 2θ from 10° to 90°:
13.82°, intensity 82, (1 1 1); 22.67°, intensity 65, (2 2 0); 27.85°, intensity 31, (2 2 2); 32.27°, intensity 100, (4 0 0); 39.80°, intensity 41, (4 2 2); 42.33°, intensity 25, (5 1 1); 46.29°, intensity 41, (4 4 0); 52.13°, intensity 22, (6 2 0); 62.66°, intensity 25, (6 4 2); 72.25°, intensity 20, (6 6 0)



No. 5
Computed X-ray diffraction stick pattern of KThNO for Cu Kα (λ = 1.5418 Å), from a structure optimized by DFT (GGA-PBE).
Kinematic intensities with the Lorentz-polarization factor, no thermal factor.

Crystal structure
a = 3.7121 Å, b = 3.7121 Å, c = 19.8216 Å
α = 90.00°, β = 90.00°, γ = 120.00°
Space group R3m (No. 160, hexagonal axes)
Asymmetric unit:
K 0.0000 0.0000 0.0000
Th 0.0000 0.0000 0.1747
N 0.0000 0.0000 0.5617
O 0.0000 0.0000 0.7799

Largest 10 diffraction maxima, sorted by position, 2θ from 10° to 90°:
13.40°, intensity 100, (0 0 3); 26.99°, intensity 31, (0 0 6); 28.12°, intensity 69, (1 0 1); 29.20°, intensity 56, (0 1 2); 33.22°, intensity 32, (1 0 4); 35.97°, intensity 60, (0 1 5); 42.55°, intensity 25, (1 0 7); 49.08°, intensity 26, (1 1 0); 51.12°, intensity 22, (1 1 3); 56.90°, intensity 25, (1 1 6)



No. 6
Computed X-ray diffraction stick pattern of KTiN2O for Cu Kα (λ = 1.5418 Å), from a structure optimized by DFT (GGA-PBE).
Kinematic intensities with the Lorentz-polarization factor, no thermal factor.

Crystal structure
a = 4.1630 Å, b = 4.1630 Å, c = 3.9357 Å
α = 90.00°, β = 90.00°, γ = 90.00°
Space group P4/mmm (No. 123)
Asymmetric unit:
K 0.0000 0.0000 0.0000
Ti 0.5000 0.5000 0.5000
N 0.0000 0.5000 0.5000
O 0.5000 0.5000 0.0000

Largest 10 diffraction maxima, sorted by position, 2θ from 10° to 90°:
21.34°, intensity 16, (1 0 0); 30.36°, intensity 64, (1 1 0); 31.28°, intensity 100, (1 0 1); 38.18°, intensity 14, (1 1 1); 43.48°, intensity 61, (2 0 0); 46.13°, intensity 25, (0 0 2); 54.53°, intensity 37, (2 1 1); 56.23°, intensity 20, (1 1 2); 63.17°, intensity 16, (2 2 0); 65.25°, intensity 29, (2 0 2)